(1)
The following is a theoretical powder XRD pattern of TlBiS2. It was derived from the GGA-PBE geometry in the Materials Project, using copper Kα.
Intensities are scaled so that the largest is 100.

The 10 most intense peaks (2θ from 10° to 90°), most intense first:
| 2θ (°) | intensity |
| --- | --- |
| 30.2 | 100 |
| 26.0 | 96 |
| 43.2 | 75 |
| 51.1 | 50 |
| 71.1 | 35 |
| 53.6 | 27 |
| 79.1 | 26 |
| 69.1 | 21 |
| 85.0 | 17 |
| 62.7 | 13 |

Structural model:
abc: 4.192 4.192 5.928
angles: 90.00 90.00 90.00
Positions (direct):
Tl1 0.000 0.000 0.000
Bi1 0.500 0.500 0.500
S1 0.000 0.000 0.500
S2 0.500 0.500 0.000

---

(2)
The following is a theoretical powder XRD pattern of Mg6MnCo. It was derived from the GGA-PBE geometry in the Materials Project, using copper Kα.
Intensities are scaled so that the largest is 100.

The 10 most intense peaks (2θ from 10° to 90°), most intense first:
| 2θ (°) | intensity |
| --- | --- |
| 39.3 | 100 |
| 39.2 | 51 |
| 37.5 | 38 |
| 34.4 | 29 |
| 68.8 | 26 |
| 51.7 | 25 |
| 16.9 | 22 |
| 74.2 | 17 |
| 61.5 | 16 |
| 18.5 | 14 |

Structural model:
abc: 4.802 6.034 6.034
angles: 59.74 90.00 90.00
Positions (direct):
Mg1 0.000 0.000 0.000
Mg2 0.000 0.018 0.506
Mg3 0.000 0.496 0.496
Mg4 0.000 0.506 0.018
Mg5 0.500 0.339 0.840
Mg6 0.500 0.840 0.339
Mn1 0.500 0.839 0.839
Co1 0.500 0.341 0.341

---

(3)
The following is a theoretical powder XRD pattern of LiCu4P3O12. It was derived from the GGA-PBE geometry in the Materials Project, using copper Kα.
Intensities are scaled so that the largest is 100.

The 10 most intense peaks (2θ from 10° to 90°), most intense first:
| 2θ (°) | intensity |
| --- | --- |
| 29.3 | 100 |
| 11.5 | 68 |
| 15.4 | 59 |
| 36.1 | 44 |
| 34.0 | 40 |
| 36.0 | 24 |
| 32.3 | 22 |
| 56.2 | 21 |
| 24.8 | 18 |
| 53.9 | 16 |

Structural model:
abc: 8.311 8.311 9.946
angles: 90.00 90.00 136.03
Positions (direct):
Li1 0.013 0.987 0.500
Li2 0.987 0.013 0.000
Cu1 0.056 0.451 0.504
Cu2 0.369 0.631 0.203
Cu3 0.381 0.619 0.819
Cu4 0.451 0.056 0.004
Cu5 0.549 0.944 0.504
Cu6 0.619 0.381 0.319
Cu7 0.631 0.369 0.703
Cu8 0.944 0.549 0.004
P1 0.183 0.817 0.289
P2 0.185 0.815 0.722
P3 0.480 0.520 0.550
P4 0.520 0.480 0.050
P5 0.815 0.185 0.222
P6 0.817 0.183 0.789
O1 0.064 0.327 0.832
O2 0.065 0.327 0.186
O3 0.208 0.792 0.135
O4 0.213 0.787 0.875
O5 0.228 0.353 0.497
O6 0.274 0.726 0.638
O7 0.277 0.723 0.364
O8 0.327 0.064 0.332
O9 0.327 0.065 0.686
O10 0.353 0.228 0.997
O11 0.421 0.579 0.012
O12 0.486 0.514 0.707
O13 0.514 0.486 0.207
O14 0.579 0.421 0.512
O15 0.647 0.772 0.497
O16 0.673 0.935 0.186
O17 0.673 0.936 0.832
O18 0.723 0.277 0.864
O19 0.726 0.274 0.138
O20 0.772 0.647 0.997
O21 0.787 0.213 0.375
O22 0.792 0.208 0.635
O23 0.935 0.673 0.686
O24 0.936 0.673 0.332

---

(4)
The following is a theoretical powder XRD pattern of NaTl. It was derived from the GGA-PBE geometry in the Materials Project, using copper Kα.
Intensities are scaled so that the largest is 100.

The 10 most intense peaks (2θ from 10° to 90°), most intense first:
| 2θ (°) | intensity |
| --- | --- |
| 17.2 | 100 |
| 33.8 | 85 |
| 38.1 | 84 |
| 21.2 | 62 |
| 32.5 | 43 |
| 49.2 | 43 |
| 64.5 | 26 |
| 26.0 | 21 |
| 63.4 | 20 |
| 34.7 | 19 |

Structural model:
abc: 5.304 5.304 10.330
angles: 90.00 90.00 120.00
Positions (direct):
Na1 0.333 0.667 0.078
Na2 0.333 0.667 0.422
Na3 0.667 0.333 0.578
Na4 0.667 0.333 0.922
Tl1 0.000 0.000 0.250
Tl2 0.000 0.000 0.750
Tl3 0.333 0.667 0.750
Tl4 0.667 0.333 0.250

---

(5)
The following is a theoretical powder XRD pattern of Ho3Ag4Sn4. It was derived from the GGA-PBE geometry in the Materials Project, using copper Kα.
Intensities are scaled so that the largest is 100.

The 10 most intense peaks (2θ from 10° to 90°), most intense first:
| 2θ (°) | intensity |
| --- | --- |
| 31.7 | 100 |
| 32.9 | 66 |
| 39.4 | 34 |
| 43.2 | 25 |
| 35.2 | 21 |
| 57.9 | 21 |
| 40.6 | 21 |
| 71.4 | 13 |
| 35.9 | 13 |
| 51.4 | 11 |

Structural model:
abc: 8.795 8.795 8.795
angles: 149.87 130.24 59.27
Positions (direct):
Ho1 0.000 0.000 0.000
Ho2 0.373 0.873 0.500
Ho3 0.627 0.127 0.500
Ag1 0.026 0.328 0.698
Ag2 0.370 0.672 0.698
Ag3 0.630 0.328 0.302
Ag4 0.974 0.672 0.302
Sn1 0.215 0.215 0.000
Sn2 0.303 0.500 0.803
Sn3 0.697 0.500 0.197
Sn4 0.785 0.785 0.000

---

(6)
The following is a theoretical powder XRD pattern of LaMgVS4. It was derived from the GGA-PBE geometry in the Materials Project, using copper Kα.
Intensities are scaled so that the largest is 100.

The 10 most intense peaks (2θ from 10° to 90°), most intense first:
| 2θ (°) | intensity |
| --- | --- |
| 14.2 | 100 |
| 32.6 | 95 |
| 26.6 | 93 |
| 47.0 | 82 |
| 27.2 | 66 |
| 32.9 | 44 |
| 13.8 | 35 |
| 35.5 | 32 |
| 43.1 | 29 |
| 47.7 | 22 |

Structural model:
abc: 7.739 7.739 7.623
angles: 119.46 119.46 61.69
Positions (direct):
La1 0.000 0.500 0.000
La2 0.500 0.000 0.000
Mg1 0.124 0.124 0.373
Mg2 0.876 0.876 0.627
V1 0.500 0.500 0.000
V2 0.500 0.500 0.500
S1 0.274 0.274 0.284
S2 0.274 0.274 0.765
S3 0.276 0.703 0.740
S4 0.297 0.724 0.260
S5 0.703 0.276 0.740
S6 0.724 0.297 0.260
S7 0.726 0.726 0.235
S8 0.726 0.726 0.716

---

(7)
The following is a theoretical powder XRD pattern of TcC4NO4. It was derived from the GGA-PBE geometry in the Materials Project, using copper Kα.
Intensities are scaled so that the largest is 100.

The 10 most intense peaks (2θ from 10° to 90°), most intense first:
| 2θ (°) | intensity |
| --- | --- |
| 21.3 | 100 |
| 24.3 | 74 |
| 22.5 | 68 |
| 13.5 | 53 |
| 29.9 | 27 |
| 27.9 | 23 |
| 18.2 | 22 |
| 16.3 | 22 |
| 17.9 | 19 |
| 43.3 | 19 |

Structural model:
abc: 9.902 10.854 6.547
angles: 90.00 90.00 90.00
Positions (direct):
Tc1 0.225 0.232 0.053
Tc2 0.275 0.732 0.947
Tc3 0.725 0.268 0.947
Tc4 0.775 0.768 0.053
C1 0.046 0.048 0.307
C2 0.061 0.062 0.526
C3 0.070 0.509 0.673
C4 0.113 0.566 0.482
C5 0.387 0.066 0.518
C6 0.430 0.009 0.327
C7 0.439 0.562 0.474
C8 0.454 0.548 0.693
C9 0.546 0.452 0.693
C10 0.561 0.438 0.474
C11 0.570 0.991 0.327
C12 0.613 0.934 0.518
C13 0.887 0.434 0.482
C14 0.930 0.491 0.673
C15 0.939 0.938 0.526
C16 0.954 0.952 0.307
N1 0.000 0.000 0.680
N2 0.000 0.500 0.429
N3 0.500 0.000 0.571
N4 0.500 0.500 0.320
O1 0.106 0.112 0.161
O2 0.111 0.692 0.891
O3 0.198 0.377 0.148
O4 0.209 0.239 0.794
O5 0.291 0.739 0.206
O6 0.302 0.877 0.852
O7 0.389 0.192 0.109
O8 0.394 0.612 0.839
O9 0.606 0.388 0.839
O10 0.611 0.808 0.109
O11 0.698 0.123 0.852
O12 0.709 0.261 0.206
O13 0.791 0.761 0.794
O14 0.802 0.623 0.148
O15 0.889 0.308 0.891
O16 0.894 0.888 0.161

---

(8)
The following is a theoretical powder XRD pattern of CeIn4Ni. It was derived from the GGA-PBE geometry in the Materials Project, using copper Kα.
Intensities are scaled so that the largest is 100.

The 10 most intense peaks (2θ from 10° to 90°), most intense first:
| 2θ (°) | intensity |
| --- | --- |
| 32.3 | 100 |
| 33.2 | 66 |
| 40.0 | 37 |
| 40.8 | 31 |
| 35.5 | 24 |
| 58.4 | 20 |
| 34.3 | 19 |
| 32.7 | 16 |
| 50.8 | 12 |
| 62.0 | 11 |

Structural model:
abc: 8.724 8.724 7.193
angles: 90.00 90.00 150.03
Positions (direct):
Ce1 0.117 0.883 0.750
Ce2 0.883 0.117 0.250
In1 0.074 0.926 0.250
In2 0.312 0.688 0.546
In3 0.312 0.688 0.954
In4 0.500 0.500 0.000
In5 0.500 0.500 0.500
In6 0.688 0.312 0.046
In7 0.688 0.312 0.454
In8 0.926 0.074 0.750
Ni1 0.225 0.775 0.250
Ni2 0.775 0.225 0.750

---

(9)
The following is a theoretical powder XRD pattern of Te2Mo3WSe6. It was derived from the GGA-PBE geometry in the Materials Project, using copper Kα.
Intensities are scaled so that the largest is 100.

The 10 most intense peaks (2θ from 10° to 90°), most intense first:
| 2θ (°) | intensity |
| --- | --- |
| 11.5 | 100 |
| 35.9 | 87 |
| 43.5 | 58 |
| 30.6 | 52 |
| 54.3 | 35 |
| 45.3 | 20 |
| 13.8 | 18 |
| 76.8 | 16 |
| 66.8 | 14 |
| 32.7 | 13 |

Structural model:
abc: 3.380 3.380 38.421
angles: 90.00 90.00 120.00
Positions (direct):
Te1 0.000 0.000 0.000
Te2 0.000 0.000 0.098
Mo1 0.000 0.000 0.485
Mo2 0.333 0.667 0.049
Mo3 0.333 0.667 0.673
W1 0.000 0.000 0.861
Se1 0.000 0.000 0.630
Se2 0.000 0.000 0.716
Se3 0.333 0.667 0.442
Se4 0.333 0.667 0.528
Se5 0.333 0.667 0.818
Se6 0.333 0.667 0.904